Computed PXRD pattern of Li4V3O8 for Cu Kα X-rays, from DFT lattice parameters and positions (GGA+U).

Cell and atoms:
```
30
Lattice="6.225 0.000 0.000 0.000 4.021 0.000 -2.046 0.000 11.613" Properties=species:S:1:pos:R:3 pbc="T T T"
Li -0.608 1.005 3.671
Li -0.051 1.005 6.903
Li 2.545 1.005 0.716
Li 1.394 3.015 8.058
Li 2.785 1.005 3.555
Li 1.634 3.015 10.897
Li 4.230 3.015 4.711
Li 4.788 3.015 7.942
V -1.178 3.015 10.719
V 1.034 3.015 2.226
V 1.138 3.015 5.184
V 3.041 1.005 6.429
V 3.145 1.005 9.388
V 5.358 1.005 0.894
O -1.559 1.005 10.838
O -0.196 3.015 3.687
O -0.022 3.015 6.529
O 0.812 1.005 2.061
O 0.023 3.015 9.519
O 2.119 3.015 0.664
O 1.382 1.005 5.269
O 2.365 3.015 3.591
O 1.815 1.005 8.023
O 2.798 3.015 6.344
O 2.060 1.005 10.949
O 4.156 1.005 2.094
O 3.368 3.015 9.552
O 4.202 1.005 5.084
O 4.375 1.005 7.927
O 5.739 3.015 0.775
```

Largest 6 diffraction maxima, by angle, 2θ from 10° to 90°:
2θ = 15.1°, I = 100, hkl 1 0 -1
2θ = 26.5°, I = 79, hkl 1 1 0
2θ = 31.7°, I = 20, hkl 1 0 -4
2θ = 40.6°, I = 44, hkl 2 0 3
2θ = 44.7°, I = 31, hkl 2 0 -5
2θ = 45.1°, I = 41, hkl 0 2 0